(1)
For Na2CeHo2Se6, a cell relaxed with GGA-PBE gives the computed powder XRD pattern in this record (Cu Kα).

Principal peaks in the range 5 to 70 degrees two-theta, sorted by position:
d 7.025, rel. 64, (0 0 1); d 3.538, rel. 25, (2 0 -1); d 2.966, rel. 100, (1 3 1); d 2.307, rel. 18, (1 3 2); d 2.124, rel. 36, (2 0 2); d 2.072, rel. 37, (0 6 0); d 1.987, rel. 16, (3 3 0); d 1.699, rel. 13, (2 6 -2); d 1.690, rel. 9, (2 0 3); d 1.483, rel. 11, (2 6 2)

Atomic structure:
```
data_Na2CeHo2Se6
_cell_length_a 7.179
_cell_length_b 12.430
_cell_length_c 7.422
_cell_angle_alpha 90.00
_cell_angle_beta 108.81
_cell_angle_gamma 90.00
_space_group_name_H-M_alt 'C 1 2/m 1'
_space_group_IT_number 12
loop_
_space_group_symop_operation_xyz
'x,y,z'
'-x,-y,-z'
'-x,y,-z'
'x,-y,z'
'x+1/2,y+1/2,z'
'-x+1/2,-y+1/2,-z'
'-x+1/2,y+1/2,-z'
'x+1/2,-y+1/2,z'
loop_
_atom_site_label
_atom_site_type_symbol
_atom_site_fract_x
_atom_site_fract_y
_atom_site_fract_z
_atom_site_occupancy
Na1 Na 0.000 0.167 0.000 1
Ce1 Ce 0.000 0.000 0.500 1
Ho1 Ho 0.000 0.334 0.500 1
Se1 Se 0.241 0.168 0.725 1
Se2 Se 0.243 0.500 0.725 1
```

(2)
For CeHoNb, a cell relaxed with GGA-PBE gives the computed powder XRD pattern in this record (Cu Kα).

Principal peaks in the range 5 to 70 degrees two-theta, sorted by position:
d 3.885, rel. 31, (0 2 0); d 3.217, rel. 28, (0 0 4); d 2.940, rel. 100, (2 0 2); d 2.478, rel. 77, (0 2 4); d 2.370, rel. 36, (1 3 1); d 2.344, rel. 65, (2 2 2); d 2.292, rel. 18, (1 1 5); d 1.633, rel. 38, (2 2 6); d 1.621, rel. 17, (2 4 2); d 1.375, rel. 24, (4 2 4)

Atomic structure:
```
data_CeHoNb
_cell_length_a 6.610
_cell_length_b 7.771
_cell_length_c 12.870
_cell_angle_alpha 90.00
_cell_angle_beta 90.00
_cell_angle_gamma 90.00
_space_group_name_H-M_alt 'F m m m'
_space_group_IT_number 69
_space_group_name_Hall '-F 2 2'
loop_
_atom_site_label
_atom_site_type_symbol
_atom_site_fract_x
_atom_site_fract_y
_atom_site_fract_z
_atom_site_occupancy
Ce1 Ce 0.000 0.201 0.000 1
Ho1 Ho 0.250 0.250 0.250 1
Nb1 Nb 0.000 0.000 0.394 1
```

(3)
For CeNd8Ho5, a cell relaxed with GGA-PBE gives the computed powder XRD pattern in this record (Cu Kα).

Principal peaks in the range 5 to 70 degrees two-theta, sorted by position:
d 3.051, rel. 34, (1 -1 2); d 3.037, rel. 41, (2 -2 1); d 2.874, rel. 100, (1 2 -2); d 2.828, rel. 96, (1 1 1); d 2.810, rel. 88, (-3 1 1); d 2.778, rel. 62, (-2 2 2); d 2.747, rel. 42, (2 0 -3); d 2.741, rel. 47, (1 -3 0); d 2.641, rel. 50, (0 1 -3); d 2.624, rel. 44, (2 -3 1)

Atomic structure:
```
data_CeNd8Ho5
_cell_length_a 8.558
_cell_length_b 8.577
_cell_length_c 8.620
_cell_angle_alpha 99.48
_cell_angle_beta 112.89
_cell_angle_gamma 116.29
_space_group_name_H-M_alt 'P 1'
_space_group_IT_number 1
loop_
_space_group_symop_operation_xyz
'x,y,z'
loop_
_atom_site_label
_atom_site_type_symbol
_atom_site_fract_x
_atom_site_fract_y
_atom_site_fract_z
_atom_site_occupancy
Ce1 Ce 0.000 0.000 0.000 1
Nd1 Nd 0.056 0.451 0.585 1
Nd2 Nd 0.257 0.047 0.783 1
Nd3 Nd 0.265 0.190 0.459 1
Nd4 Nd 0.274 0.473 0.209 1
Nd5 Nd 0.722 0.074 0.081 1
Nd6 Nd 0.737 0.635 0.638 1
Nd7 Nd 0.778 0.335 0.824 1
Nd8 Nd 0.965 0.665 0.284 1
Ho1 Ho 0.261 0.790 0.054 1
Ho2 Ho 0.470 0.846 0.609 1
Ho3 Ho 0.519 0.573 0.936 1
Ho4 Ho 0.545 0.273 0.253 1
Ho5 Ho 0.765 0.931 0.415 1
```